For PmTi2Ga4, a GGA-PBE-relaxed structure gives the simulated powder diffractogram in this record (Cu Kα (weighted mean of Kα1 and Kα2)).
Kinematic intensities with the Lorentz-polarization factor, no thermal factor.

Atomic structure:
Lattice parameters (Å, degrees): 3.8331 3.9863 17.4188 90.00 90.00 90.00
Space group Immm (No. 71)
Symmetry-distinct sites (fractional):
1 Pm 0.0000 0.0000 0.0000 [2 per cell]
2 Ti 0.0000 0.5000 0.1888 [4 per cell]
3 Ga 0.0000 0.0000 0.4257 [4 per cell]
4 Ga 0.0000 0.5000 0.3393 [4 per cell]

Peak list (12 most intense, 2θ = 5–70°, in order of falling intensity)
two_theta	I_rel	h k l
34.04	100.0	1 1 2
42.84	37.4	0 1 7
10.16	29.5	0 0 2
34.80	29.3	1 0 5
45.51	23.3	0 2 0
47.44	20.6	2 0 0
27.89	20.3	1 0 3
65.82	20.1	2 1 7
38.59	19.5	1 1 4
34.18	15.9	0 1 5
67.84	13.5	2 2 0
45.31	12.7	1 1 6